[1]
# Na3FeO3
Simulated powder XRD pattern, CuKα. Input: a DFT-relaxed cell (PBE+U, the Materials Project).
Peak positions follow from Bragg's law for the DFT cell and can differ from measured ones.

Structure:
a b c (Å): 5.815 12.760 6.285
angles (deg): 90.00 122.08 90.00
Positions (direct):
Na (0.038, 0.015, 0.281)
Na (0.038, 0.485, 0.781)
Na (0.053, 0.223, 0.696)
Na (0.053, 0.277, 0.196)
Na (0.433, 0.096, 0.144)
Na (0.433, 0.404, 0.644)
Na (0.567, 0.596, 0.356)
Na (0.567, 0.904, 0.856)
Na (0.947, 0.723, 0.804)
Na (0.947, 0.777, 0.304)
Na (0.962, 0.515, 0.219)
Na (0.962, 0.985, 0.719)
Fe (0.419, 0.664, 0.742)
Fe (0.419, 0.836, 0.242)
Fe (0.581, 0.164, 0.758)
Fe (0.581, 0.336, 0.258)
O (0.052, 0.627, 0.548)
O (0.052, 0.873, 0.048)
O (0.321, 0.062, 0.699)
O (0.321, 0.438, 0.199)
O (0.473, 0.728, 0.048)
O (0.473, 0.772, 0.548)
O (0.527, 0.228, 0.452)
O (0.527, 0.272, 0.952)
O (0.679, 0.562, 0.801)
O (0.679, 0.938, 0.301)
O (0.948, 0.127, 0.952)
O (0.948, 0.373, 0.452)

Main lines, most intense first (2θ = 10–90°):
2θ (°), I_rel, hkl
21.74, 100, 0 2 1
40.29, 66, 1 4 -2
32.73, 60, 0 4 1
33.66, 52, 0 0 2
36.47, 50, 2 0 0
18.01, 44, 1 0 0
37.55, 36, 2 3 -1
33.46, 35, 1 4 0
26.93, 33, 1 3 -1
21.87, 31, 1 2 -1

***

[2]
# Na4FeO5
Simulated powder XRD pattern, CuKα. Input: a DFT-relaxed cell (PBE+U, the Materials Project).
Peak positions follow from Bragg's law for the DFT cell and can differ from measured ones.

Structure:
a b c (Å): 5.722 5.751 8.714
angles (deg): 108.11 102.93 100.47
Positions (direct):
Na (0.000, 0.000, 0.000)
Na (0.082, 0.210, 0.707)
Na (0.193, 0.416, 0.404)
Na (0.378, 0.782, 0.794)
Na (0.486, 0.000, 0.499)
Na (0.584, 0.205, 0.205)
Na (0.698, 0.425, 0.902)
Na (0.890, 0.785, 0.296)
Fe (0.321, 0.607, 0.128)
Fe (0.779, 0.609, 0.590)
O (0.021, 0.430, 0.135)
O (0.064, 0.780, 0.558)
O (0.245, 0.907, 0.220)
O (0.346, 0.304, 0.987)
O (0.501, 0.425, 0.627)
O (0.566, 0.608, 0.377)
O (0.571, 0.777, 0.069)
O (0.736, 0.911, 0.717)
O (0.834, 0.305, 0.484)
O (0.978, 0.612, 0.792)

Main lines, most intense first (2θ = 10–90°):
2θ (°), I_rel, hkl
38.78, 100, 1 -1 3
37.96, 49, -1 2 1
16.85, 37, 0 1 0
16.96, 33, 1 0 -1
22.51, 27, 0 0 2
33.09, 27, 1 0 -3
33.27, 26, 0 2 -2
56.00, 24, 1 2 -5
22.65, 22, 1 0 1
55.33, 15, 0 1 4

***

[3]
# Na6FeO4
Simulated powder XRD pattern, CuKα. Input: a DFT-relaxed cell (PBE+U, the Materials Project).
Peak positions follow from Bragg's law for the DFT cell and can differ from measured ones.

Structure:
a b c (Å): 7.594 7.594 5.414
angles (deg): 90.00 90.00 90.00
Positions (direct):
Na (0.040, 0.540, 0.250)
Na (0.040, 0.960, 0.250)
Na (0.250, 0.250, 0.154)
Na (0.250, 0.250, 0.654)
Na (0.460, 0.540, 0.250)
Na (0.460, 0.960, 0.250)
Na (0.540, 0.040, 0.750)
Na (0.540, 0.460, 0.750)
Na (0.750, 0.750, 0.346)
Na (0.750, 0.750, 0.846)
Na (0.960, 0.040, 0.750)
Na (0.960, 0.460, 0.750)
Fe (0.250, 0.750, 0.750)
Fe (0.750, 0.250, 0.250)
O (0.001, 0.750, 0.579)
O (0.250, 0.501, 0.921)
O (0.250, 0.999, 0.921)
O (0.499, 0.750, 0.579)
O (0.501, 0.250, 0.421)
O (0.750, 0.001, 0.079)
O (0.750, 0.499, 0.079)
O (0.999, 0.250, 0.421)

Main lines, most intense first (2θ = 10–90°):
2θ (°), I_rel, hkl
39.29, 100, 3 0 1
47.71, 95, 2 2 2
31.09, 81, 2 1 1
20.14, 80, 1 0 1
47.92, 67, 4 0 0
33.37, 54, 2 2 0
28.72, 45, 2 0 1
42.72, 41, 2 1 2
33.09, 39, 0 0 2
57.86, 35, 2 1 3